Starting from a crystal structure in Alexandria, relaxed with PBE, the XRD peak list of PmSeI3 was calculated for λ = 1.5418 Å (Cu Kα).
Lines closer than 0.1° are merged.

Structure:
abc: 7.329 9.221 15.808
angles: 90.00 104.92 90.00
Space group P2/c (No. 13)
Asymmetric unit:
Pm 0.107 0.129 0.125 [4 per cell]
Se 0.152 0.313 0.294 [4 per cell]
I 0.189 0.170 0.554 [4 per cell]
I 0.268 0.013 0.815 [4 per cell]
I 0.367 0.345 0.081 [4 per cell]

Top 10 peaks for 2θ = 5–70°, in order of rising 2θ:
2θ/deg  d [Å]  intensity
9.6  9.221  100
11.2  7.894  97
15.8  5.616  27
22.9  3.876  23
23.4  3.794  44
26.7  3.340  40
26.9  3.309  66
29.3  3.049  40
32.7  2.738  28
42.6  2.123  38